Entry 1:
For Tb2NbReN6, a structure optimized by DFT (GGA-PBE) gives the calculated powder diffraction line list in this record (copper Kα).
Peak positions follow from Bragg's law for the DFT cell and can differ from measured ones.

```
Tb2NbReN6
1.0
5.4825 0.0000 0.0000
0.0000 5.7114 0.0000
-5.4428 0.0000 7.8512
Tb Nb Re N
4 2 2 12
Cartesian
-0.0539 0.3587 1.9657
-2.7753 2.4970 5.8913
2.8150 3.2144 1.9599
0.0936 5.3527 5.8855
2.7412 0.0000 0.0000
0.0199 2.8557 3.9256
-2.7214 0.0000 3.9256
0.0000 2.8557 0.0000
-4.3820 1.1781 7.4618
-1.6607 1.6776 3.5362
-3.8379 3.9669 7.4749
-1.1166 4.6001 3.5493
-2.2015 0.1356 5.8377
0.5199 2.7201 1.9121
-0.4802 2.9913 5.9391
2.2412 5.5758 2.0135
1.1563 1.1112 4.3019
3.8777 1.7445 0.3763
1.7004 4.0338 4.3150
4.4218 4.5333 0.3894
```

Largest 10 diffraction maxima, most intense first, 15 to 90 degrees two-theta:
2θ (°), intensity
32.1, 100
32.2, 99
32.7, 50
31.3, 42
45.9, 37
57.9, 32
46.3, 25
56.3, 21
58.1, 21
25.2, 18

Entry 2:
For Th2NbReN6, a structure optimized by DFT (GGA-PBE) gives the calculated powder diffraction line list in this record (copper Kα).
Peak positions follow from Bragg's law for the DFT cell and can differ from measured ones.

```
Th2NbReN6
1.0
5.5391 0.0000 0.0000
0.0000 5.5391 0.0000
0.0000 0.0000 4.7376
Th Nb Re N
2 1 1 6
Cartesian
0.0000 2.7696 0.0000
2.7696 0.0000 0.0000
0.0000 0.0000 2.7704
2.7696 2.7696 2.7277
0.0000 0.0000 0.8762
1.4138 1.4138 3.4093
1.4138 4.1253 3.4093
2.7696 2.7696 0.9517
4.1253 1.4138 3.4093
4.1253 4.1253 3.4093
```

Largest 10 diffraction maxima, most intense first, 15 to 90 degrees two-theta:
2θ (°), intensity
29.6, 100
32.3, 41
56.0, 35
50.7, 21
46.4, 20
44.7, 11
18.7, 10
61.4, 10
38.0, 10
89.2, 9

Entry 3:
For Nb5Rh5N, a structure optimized by DFT (GGA-PBE) gives the calculated powder diffraction line list in this record (copper Kα).
Peak positions follow from Bragg's law for the DFT cell and can differ from measured ones.

```
Nb5Rh5N
1.0
4.9578 -2.3088 0.0000
4.9578 2.3088 0.0000
-2.1360 0.0000 7.4489
Nb Rh N
5 5 1
Cartesian
0.0000 0.0000 0.0000
2.8872 0.0000 0.8388
2.0003 0.0000 5.5662
5.7794 0.0000 1.8827
4.8925 0.0000 6.6101
-0.6441 0.0000 5.1833
1.1775 0.0000 2.9115
3.8899 0.0000 3.7244
6.6022 0.0000 4.5374
8.4238 0.0000 2.2656
4.9578 0.0000 0.0000
```

Largest 10 diffraction maxima, most intense first, 15 to 90 degrees two-theta:
2θ (°), intensity
39.0, 100
40.0, 63
38.8, 39
56.2, 26
70.6, 13
71.3, 12
71.8, 11
69.7, 9
83.8, 8
46.7, 7

Entry 4:
For Nb7S12N, a structure optimized by DFT (GGA-PBE) gives the calculated powder diffraction line list in this record (copper Kα).
Peak positions follow from Bragg's law for the DFT cell and can differ from measured ones.

```
Nb7S12N
1.0
6.2789 3.6251 2.7740
-6.2789 3.6251 2.7740
0.0000 -7.2503 2.7740
Nb S N
7 12 1
Cartesian
0.0000 0.0000 0.0000
-1.2844 -1.2552 2.8966
-0.4449 1.7399 2.8966
1.7293 -0.4847 2.8966
-1.7293 0.4847 5.4252
0.4449 -1.7399 5.4252
1.2844 1.2552 5.4252
-2.0039 0.5568 1.3622
0.5197 -2.0138 1.3622
-3.3537 -0.9207 4.1331
-0.8795 -3.3648 4.1888
1.4841 1.4570 1.3622
-2.4742 2.4440 4.1888
2.4742 -2.4441 4.1331
-1.4842 -1.4570 6.9597
0.8795 3.3648 4.1331
3.3537 0.9207 4.1888
-0.5197 2.0138 6.9597
2.0038 -0.5568 6.9597
0.0000 0.0000 4.1609
```

Largest 10 diffraction maxima, most intense first, 15 to 90 degrees two-theta:
2θ (°), intensity
36.8, 100
53.5, 31
52.6, 30
35.4, 20
31.5, 17
65.9, 14
24.1, 12
37.6, 11
19.5, 11
45.5, 11

Entry 5:
For Sc3NbN4, a structure optimized by DFT (GGA-PBE) gives the calculated powder diffraction line list in this record (copper Kα).
Peak positions follow from Bragg's law for the DFT cell and can differ from measured ones.

```
Sc3NbN4
1.0
6.3673 0.0000 0.0000
0.0000 8.9540 0.0000
0.0000 0.0000 3.1564
Sc Nb N
6 2 8
Cartesian
0.0000 0.0000 0.0000
1.5918 2.2385 1.5782
1.5918 6.7155 1.5782
3.1837 4.4770 0.0000
4.7755 2.2385 1.5782
4.7755 6.7155 1.5782
0.0000 4.4770 0.0000
3.1837 0.0000 0.0000
0.0000 2.2702 0.0000
0.0000 6.6838 0.0000
1.5753 4.4770 1.5782
1.6084 0.0000 1.5782
3.1837 2.2068 0.0000
3.1837 6.7472 0.0000
4.7590 0.0000 1.5782
4.7920 4.4770 1.5782
```

Largest 10 diffraction maxima, most intense first, 15 to 90 degrees two-theta:
2θ (°), intensity
40.3, 100
34.6, 40
34.8, 40
58.3, 40
17.1, 20
69.7, 16
33.2, 11
69.4, 11
57.9, 10
58.5, 10

Entry 6:
For Sc2UNb3N6, a structure optimized by DFT (GGA-PBE) gives the calculated powder diffraction line list in this record (copper Kα).
Peak positions follow from Bragg's law for the DFT cell and can differ from measured ones.

```
Sc2UNb3N6
1.0
2.7734 -4.8234 0.0000
2.7734 4.8234 0.0000
-1.8519 0.0000 5.2074
Sc U Nb N
2 1 3 6
Cartesian
2.7734 3.2214 0.0000
2.7734 -3.2214 0.0000
2.7734 0.0000 0.0000
-0.9260 0.0000 2.6037
1.8474 1.7017 2.6037
1.8474 -1.7017 2.6037
-0.0102 1.6205 3.9150
0.9189 0.0000 1.3218
-0.0102 -1.6205 3.9150
3.7050 1.6205 1.2924
2.7759 0.0000 3.8856
3.7050 -1.6205 1.2924
```

Largest 10 diffraction maxima, most intense first, 15 to 90 degrees two-theta:
2θ (°), intensity
39.8, 100
34.2, 66
57.7, 32
34.3, 30
34.4, 29
19.3, 25
21.7, 24
57.5, 21
68.8, 21
25.2, 19

Entry 7:
For ZrScNb2N4, a structure optimized by DFT (GGA-PBE) gives the calculated powder diffraction line list in this record (copper Kα).
Peak positions follow from Bragg's law for the DFT cell and can differ from measured ones.

```
ZrScNb2N4
1.0
5.5071 0.0000 0.0000
0.0000 3.1729 0.0000
-1.8279 0.0000 5.2042
Zr Sc Nb N
1 1 2 4
Cartesian
0.0000 0.0000 0.0000
2.7536 1.5865 0.0000
-0.9139 1.5865 2.6021
1.8396 0.0000 2.6021
0.0274 0.0000 3.9105
0.9439 1.5865 1.3047
2.7354 1.5865 3.8995
3.6519 0.0000 1.2937
```

Largest 10 diffraction maxima, most intense first, 15 to 90 degrees two-theta:
2θ (°), intensity
40.1, 100
34.5, 53
34.6, 53
58.0, 42
69.4, 25
69.2, 18
57.9, 10
58.1, 10
73.0, 10
17.0, 10

Entry 8:
For ZrSc2NbN4, a structure optimized by DFT (GGA-PBE) gives the calculated powder diffraction line list in this record (copper Kα).
Peak positions follow from Bragg's law for the DFT cell and can differ from measured ones.

```
ZrSc2NbN4
1.0
5.5083 0.0000 0.0000
0.0000 3.1760 0.0000
-1.8363 0.0000 5.2552
Zr Sc Nb N
1 2 1 4
Cartesian
0.0000 0.0000 0.0000
-0.9182 1.5880 2.6276
1.8360 0.0000 2.6276
2.7541 1.5880 0.0000
0.0175 0.0000 3.9369
0.9275 1.5880 1.3277
3.6544 0.0000 1.3183
2.7445 1.5880 3.9275
```

Largest 10 diffraction maxima, most intense first, 15 to 90 degrees two-theta:
2θ (°), intensity
40.0, 100
34.5, 70
57.5, 31
58.0, 30
16.9, 26
34.1, 24
69.1, 19
33.0, 16
72.8, 14
68.6, 10

Entry 9:
For Nb4SiN, a structure optimized by DFT (GGA-PBE) gives the calculated powder diffraction line list in this record (copper Kα).
Peak positions follow from Bragg's law for the DFT cell and can differ from measured ones.

```
Nb4SiN
1.0
-3.7763 3.7763 3.5491
3.7763 -3.7763 3.5491
3.7763 3.7763 -3.5491
Nb Si N
8 2 2
Cartesian
0.0000 1.4040 0.0000
2.1560 0.0000 1.4161
5.3965 0.0000 1.4161
3.7763 2.1560 -0.3585
0.0000 1.6203 3.1906
-1.4040 3.7763 1.7746
1.4040 3.7763 1.7746
0.0000 6.1485 0.0000
3.7763 0.0000 3.2637
0.0000 0.0000 5.0383
0.0000 0.0000 1.7190
0.0000 3.7763 3.4935
```

Largest 10 diffraction maxima, most intense first, 15 to 90 degrees two-theta:
2θ (°), intensity
34.7, 100
33.6, 35
37.7, 32
58.0, 21
48.2, 15
60.7, 14
45.8, 13
51.5, 11
73.1, 10
23.6, 9

Entry 10:
For SmNbN2, a structure optimized by DFT (GGA-PBE) gives the calculated powder diffraction line list in this record (copper Kα).
Peak positions follow from Bragg's law for the DFT cell and can differ from measured ones.

```
SmNbN2
1.0
5.7716 0.0000 0.0000
0.0000 3.3560 0.0000
0.0000 0.0000 11.0625
Sm Nb N
4 4 8
Cartesian
0.5016 0.8390 1.5360
2.3842 2.5170 7.0673
3.3874 0.8390 3.9952
5.2700 2.5170 9.5265
0.4851 2.5170 4.3339
2.4007 0.8390 9.8652
3.3710 2.5170 1.1973
5.2865 0.8390 6.7286
0.9279 0.8390 8.3393
1.3617 0.8390 5.4174
1.5241 2.5170 10.9486
1.9579 2.5170 2.8080
3.8137 0.8390 8.2545
4.2475 0.8390 0.1139
4.4099 2.5170 5.6452
4.8437 2.5170 2.7232
```

Largest 10 diffraction maxima, most intense first, 15 to 90 degrees two-theta:
2θ (°), intensity
34.9, 100
32.1, 30
32.4, 29
55.7, 20
39.7, 19
39.5, 18
59.4, 17
31.9, 16
60.9, 12
54.7, 11

Entry 11:
For SrNb2N, a structure optimized by DFT (GGA-PBE) gives the calculated powder diffraction line list in this record (copper Kα).
Peak positions follow from Bragg's law for the DFT cell and can differ from measured ones.

```
SrNb2N
1.0
0.0000 4.6149 4.6149
4.6149 0.0000 4.6149
4.6149 4.6149 0.0000
Sr Nb N
2 4 2
Cartesian
1.1537 1.1537 1.1537
8.0761 8.0761 8.0761
4.6149 2.3075 2.3075
2.3075 4.6149 2.3075
2.3075 2.3075 4.6149
4.6149 4.6149 4.6149
3.4612 3.4612 3.4612
5.7687 5.7687 5.7687
```

Largest 10 diffraction maxima, most intense first, 15 to 90 degrees two-theta:
2θ (°), intensity
32.2, 100
33.6, 49
56.4, 37
27.3, 37
51.4, 35
79.8, 22
67.3, 19
16.6, 16
48.3, 14
66.4, 12

Entry 12:
For SrTb2NbN4, a structure optimized by DFT (GGA-PBE) gives the calculated powder diffraction line list in this record (copper Kα).
Peak positions follow from Bragg's law for the DFT cell and can differ from measured ones.

```
SrTb2NbN4
1.0
1.7406 -6.1253 0.0000
1.7406 6.1253 0.0000
0.0000 0.0000 12.2376
Sr Tb Nb N
2 4 2 8
Cartesian
1.7406 4.9266 9.1782
1.7406 -4.9266 3.0594
1.7406 1.5766 6.5411
1.7406 1.5766 11.8153
1.7406 -1.5766 0.4223
1.7406 -1.5766 5.6965
1.7406 4.0768 3.0594
1.7406 -4.0768 9.1782
0.0000 0.0000 0.0000
0.0000 0.0000 6.1188
1.7406 2.9613 1.4621
1.7406 2.9613 4.6567
1.7406 0.9310 9.1782
1.7406 -0.9310 3.0594
1.7406 -2.9613 7.5808
1.7406 -2.9613 10.7755
```

Largest 10 diffraction maxima, most intense first, 15 to 90 degrees two-theta:
2θ (°), intensity
29.2, 100
30.4, 99
37.0, 86
50.8, 39
34.7, 39
61.2, 34
41.7, 28
59.7, 27
26.2, 27
52.6, 25